Diffraction record for Dy3In4Co2. The powder diffraction line list is calculated, not measured: it uses a PBE-relaxed structure and Cu Kα X-rays.
Neutral-atom scattering factors, no anomalous dispersion.

Atomic structure:
```
data_Dy3In4Co2
_chemical_formula_sum 'Dy3 In4 Co2'
_space_group_name_H-M_alt 'P -6'
_space_group_IT_number 174
_cell_length_a 8.1346
_cell_length_b 8.1346
_cell_length_c 3.5152
_cell_angle_alpha 90.00
_cell_angle_beta 90.00
_cell_angle_gamma 120.00
loop_
_space_group_symop_operation_xyz
'x,y,z'
'-x+y,-x,-z'
'-y,x-y,z'
'x,y,-z'
'-x+y,-x,z'
'-y,x-y,-z'
loop_
_atom_site_label
_atom_site_fract_x
_atom_site_fract_y
_atom_site_fract_z
_atom_site_occupancy
Dy1 0.0807 0.4071 0.0000 1
In1 0.0000 0.0000 0.0000 1
In2 0.3798 0.2962 0.5000 1
Co1 0.3333 0.6667 0.5000 1
Co2 0.6667 0.3333 0.0000 1
```

Peak list (6 most intense, 2θ from 10° to 90°, in order of rising 2θ)
2θ = 33.7°, intensity 100.0, (1 2 0); 2θ = 36.1°, intensity 28.9, (2 0 1); 2θ = 38.3°, intensity 20.7, (3 0 0); 2θ = 42.6°, intensity 21.9, (2 1 1); 2θ = 63.4°, intensity 32.4, (2 3 1); 2θ = 66.4°, intensity 11.2, (3 0 2)